Entry 1:
Theoretical powder XRD pattern of SmEr8Cd6 for copper Kα, from a DFT-relaxed cell (PBE, Alexandria).
Peak positions follow from Bragg's law for the DFT cell and can differ from measured ones.

Cell: 8.9371 8.9371 18.9921 Å, 90.00 90.00 120.00°
Space group R-3 (No. 148, hexagonal axes)
Asymmetric unit:
Sm1 0.0000 0.0000 0.0000
Er1 0.0000 0.0000 0.3330
Er2 0.0009 0.3324 0.1161
Cd1 0.9999 0.3378 0.9471

Most intense lines, 10 to 90 degrees two-theta, by angle:
2theta  I_rel  hkl
13.99  2.5  0 0 3
19.87  5.6  1 1 0
24.38  19.3  2 -1 3
34.75  100.0  3 0 0
42.91  5.6  2 2 3
49.96  18.2  4 -2 6
56.36  7.3  5 -1 3
62.29  26.7  4 1 6
62.34  8.8  3 3 0
73.30  5.1  2 2 12
73.40  5.4  6 0 0
83.79  15.3  7 -2 6



Entry 2:
Theoretical powder XRD pattern of La5Pb for copper Kα, from a DFT-relaxed cell (PBE, Alexandria).
Peak positions follow from Bragg's law for the DFT cell and can differ from measured ones.

Cell: 3.6992 3.6992 15.4405 Å, 90.00 90.00 90.00°
Space group P4/mmm (No. 123)
Asymmetric unit:
La1 0.0000 0.0000 0.0000
La2 0.0000 0.0000 0.3495
La3 0.5000 0.5000 0.1705
Pb1 0.5000 0.5000 0.5000

Most intense lines, 10 to 90 degrees two-theta, by angle:
2theta  I_rel  hkl
29.74  100.0  1 0 3
34.28  35.5  1 1 0
34.86  15.8  0 0 6
49.27  12.8  2 0 0
49.70  22.4  1 1 6
58.61  29.5  2 1 3
59.38  11.2  1 0 9
61.77  11.5  2 0 6
80.02  6.0  3 0 3
80.69  9.3  2 1 9
82.45  5.8  3 1 0
82.78  5.3  2 2 6